# AcPtPb2
Theoretical X-ray powder pattern, CuKα. Input: a structure optimized by DFT (PBE).
Intensities are scaled so that the largest is 100.

Structure:
a = 4.6305 Å, b = 4.6278 Å, c = 10.7761 Å
α = 90.00°, β = 95.93°, γ = 90.00°
Element x y z (fractional)
Ac 0.1953 0.2500 0.2385
Ac 0.8047 0.7500 0.7615
Pt 0.3121 0.2500 0.6774
Pt 0.6879 0.7500 0.3226
Pb 0.2450 0.7500 0.5003
Pb 0.2992 0.2500 0.9333
Pb 0.7008 0.7500 0.0667
Pb 0.7550 0.2500 0.4997

Main lines, in order of rising 2θ (2θ = 10–80°):
2θ = 27.32°, intensity 64.8
2θ = 29.17°, intensity 91.6
2θ = 31.02°, intensity 50.1
2θ = 31.64°, intensity 43.6
2θ = 38.89°, intensity 100.0
2θ = 39.13°, intensity 56.7



# Ac4Pt2Pb5
Theoretical X-ray powder pattern, CuKα. Input: a structure optimized by DFT (PBE).
Intensities are scaled so that the largest is 100.

Structure:
a = 8.4026 Å, b = 4.1988 Å, c = 9.9873 Å
α = 90.00°, β = 92.92°, γ = 90.00°
Element x y z (fractional)
Ac 0.2033 0.0000 0.3450
Ac 0.2159 0.0000 0.9193
Ac 0.7841 0.0000 0.0807
Ac 0.7967 0.0000 0.6550
Pt 0.0836 0.5000 0.1290
Pt 0.9164 0.5000 0.8710
Pb 0.1372 0.5000 0.6301
Pb 0.4539 0.5000 0.1611
Pb 0.5000 0.5000 0.5000
Pb 0.5461 0.5000 0.8389
Pb 0.8628 0.5000 0.3699

Main lines, in order of rising 2θ (2θ = 10–80°):
2θ = 29.43°, intensity 57.7
2θ = 30.11°, intensity 100.0
2θ = 32.00°, intensity 20.9
2θ = 34.41°, intensity 18.5
2θ = 36.01°, intensity 27.8
2θ = 43.09°, intensity 27.0



# Ac12PuPb6
Theoretical X-ray powder pattern, CuKα. Input: a structure optimized by DFT (PBE).
Intensities are scaled so that the largest is 100.

Structure:
a = 9.5481 Å, b = 9.5481 Å, c = 9.5481 Å
α = 99.84°, β = 99.84°, γ = 99.84°
Element x y z (fractional)
Ac 0.0162 0.6818 0.9367
Ac 0.0633 0.9838 0.3182
Ac 0.1896 0.4224 0.5602
Ac 0.3182 0.0633 0.9838
Ac 0.4224 0.5602 0.1896
Ac 0.4398 0.8104 0.5776
Ac 0.5602 0.1896 0.4224
Ac 0.5776 0.4398 0.8104
Ac 0.6818 0.9367 0.0162
Ac 0.8104 0.5776 0.4398
Ac 0.9367 0.0162 0.6818
Ac 0.9838 0.3182 0.0633
Pu 0.0000 0.0000 0.0000
Pb 0.1239 0.6419 0.3093
Pb 0.3093 0.1239 0.6419
Pb 0.3581 0.6907 0.8761
Pb 0.6419 0.3093 0.1239
Pb 0.6907 0.8761 0.3581
Pb 0.8761 0.3581 0.6907

Main lines, in order of rising 2θ (2θ = 10–80°):
2θ = 19.71°, intensity 67.3
2θ = 27.51°, intensity 42.1
2θ = 28.71°, intensity 100.0
2θ = 32.42°, intensity 72.9
2θ = 32.61°, intensity 82.1
2θ = 33.64°, intensity 36.5



# AcPuPb6
Theoretical X-ray powder pattern, CuKα. Input: a structure optimized by DFT (PBE).
Intensities are scaled so that the largest is 100.

Structure:
a = 4.9779 Å, b = 4.9779 Å, c = 9.8612 Å
α = 90.00°, β = 90.00°, γ = 90.00°
Element x y z (fractional)
Ac 0.0000 0.0000 0.0000
Pu 0.0000 0.0000 0.5000
Pb 0.0000 0.5000 0.2615
Pb 0.0000 0.5000 0.7385
Pb 0.5000 0.0000 0.2615
Pb 0.5000 0.0000 0.7385
Pb 0.5000 0.5000 0.0000
Pb 0.5000 0.5000 0.5000

Main lines, in order of rising 2θ (2θ = 10–80°):
2θ = 31.22°, intensity 100.0
2θ = 36.09°, intensity 34.7
2θ = 36.45°, intensity 16.2
2θ = 52.23°, intensity 23.7
2θ = 61.87°, intensity 29.7
2θ = 62.35°, intensity 13.4



# RbAc4Pb5
Theoretical X-ray powder pattern, CuKα. Input: a structure optimized by DFT (PBE).
Intensities are scaled so that the largest is 100.

Structure:
a = 3.8479 Å, b = 3.8479 Å, c = 24.7902 Å
α = 90.00°, β = 90.00°, γ = 90.00°
Element x y z (fractional)
Rb 0.0000 0.0000 0.0000
Ac 0.0000 0.0000 0.2095
Ac 0.0000 0.0000 0.4049
Ac 0.0000 0.0000 0.5951
Ac 0.0000 0.0000 0.7905
Pb 0.5000 0.5000 0.1143
Pb 0.5000 0.5000 0.3077
Pb 0.5000 0.5000 0.5000
Pb 0.5000 0.5000 0.6923
Pb 0.5000 0.5000 0.8857

Main lines, in order of rising 2θ (2θ = 10–80°):
2θ = 29.38°, intensity 100.0
2θ = 32.92°, intensity 40.5
2θ = 47.24°, intensity 15.1
2θ = 49.76°, intensity 18.8
2θ = 56.62°, intensity 32.9
2θ = 60.98°, intensity 17.0



# Ac2Rh4Pb5
Theoretical X-ray powder pattern, CuKα. Input: a structure optimized by DFT (PBE).
Intensities are scaled so that the largest is 100.

Structure:
a = 9.6811 Å, b = 7.9270 Å, c = 7.1243 Å
α = 79.87°, β = 53.71°, γ = 46.42°
Element x y z (fractional)
Ac 0.1616 0.1616 0.8384
Ac 0.8384 0.8384 0.1616
Rh 0.2347 0.4535 0.5465
Rh 0.4535 0.2347 0.7653
Rh 0.5465 0.7653 0.2347
Rh 0.7653 0.5465 0.4535
Pb 0.0000 0.0000 0.5000
Pb 0.2500 0.2500 0.2500
Pb 0.5000 0.5000 0.0000
Pb 0.5000 0.5000 0.5000
Pb 0.7500 0.7500 0.7500

Main lines, in order of rising 2θ (2θ = 10–80°):
2θ = 27.93°, intensity 32.6
2θ = 28.24°, intensity 51.1
2θ = 31.35°, intensity 60.4
2θ = 31.65°, intensity 100.0
2θ = 37.77°, intensity 36.6
2θ = 42.48°, intensity 42.4



# Ac4RhPb8
Theoretical X-ray powder pattern, CuKα. Input: a structure optimized by DFT (PBE).
Intensities are scaled so that the largest is 100.

Structure:
a = 4.7826 Å, b = 4.8651 Å, c = 18.2292 Å
α = 90.00°, β = 90.00°, γ = 90.00°
Element x y z (fractional)
Ac 0.0000 0.0000 0.0000
Ac 0.0000 0.5000 0.4918
Ac 0.5000 0.0000 0.1982
Ac 0.5000 0.5000 0.7053
Rh 0.5000 0.0000 0.4118
Pb 0.0000 0.0000 0.3370
Pb 0.0000 0.0000 0.6731
Pb 0.0000 0.5000 0.1572
Pb 0.0000 0.5000 0.8565
Pb 0.5000 0.0000 0.5593
Pb 0.5000 0.0000 0.8493
Pb 0.5000 0.5000 0.0361
Pb 0.5000 0.5000 0.3363

Main lines, in order of rising 2θ (2θ = 10–80°):
2θ = 29.40°, intensity 15.8
2θ = 30.05°, intensity 100.0
2θ = 36.95°, intensity 19.0
2θ = 37.61°, intensity 18.2
2θ = 53.75°, intensity 13.4
2θ = 62.35°, intensity 15.3



# Ac5Rh4Pb2
Theoretical X-ray powder pattern, CuKα. Input: a structure optimized by DFT (PBE).
Intensities are scaled so that the largest is 100.

Structure:
a = 10.7155 Å, b = 10.7155 Å, c = 8.0355 Å
α = 96.43°, β = 96.43°, γ = 22.95°
Element x y z (fractional)
Ac 0.0000 0.0000 0.0000
Ac 0.3369 0.3369 0.0723
Ac 0.4046 0.4046 0.5571
Ac 0.5954 0.5954 0.4429
Ac 0.6631 0.6631 0.9277
Rh 0.1124 0.1124 0.7042
Rh 0.4693 0.4693 0.2301
Rh 0.5307 0.5307 0.7699
Rh 0.8876 0.8876 0.2958
Pb 0.2420 0.2420 0.6490
Pb 0.7580 0.7580 0.3510

Main lines, in order of rising 2θ (2θ = 10–80°):
2θ = 26.32°, intensity 63.4
2θ = 26.77°, intensity 76.1
2θ = 29.16°, intensity 100.0
2θ = 31.35°, intensity 96.5
2θ = 36.10°, intensity 87.9
2θ = 42.39°, intensity 70.1



# AcRh2Pb3
Theoretical X-ray powder pattern, CuKα. Input: a structure optimized by DFT (PBE).
Intensities are scaled so that the largest is 100.

Structure:
a = 9.4859 Å, b = 9.4859 Å, c = 11.5782 Å
α = 111.72°, β = 111.72°, γ = 28.31°
Element x y z (fractional)
Ac 0.0000 0.0000 0.0000
Ac 0.1672 0.1672 0.6990
Ac 0.8328 0.8328 0.3010
Rh 0.1996 0.1996 0.1336
Rh 0.3690 0.3690 0.5582
Rh 0.4783 0.4783 0.2026
Rh 0.5217 0.5217 0.7974
Rh 0.6310 0.6310 0.4418
Rh 0.8004 0.8004 0.8664
Pb 0.0305 0.0305 0.3353
Pb 0.2150 0.2150 0.3924
Pb 0.3229 0.3229 0.0444
Pb 0.3736 0.3736 0.8076
Pb 0.5000 0.5000 0.5000
Pb 0.6264 0.6264 0.1924
Pb 0.6771 0.6771 0.9556
Pb 0.7850 0.7850 0.6076
Pb 0.9695 0.9695 0.6647

Main lines, in order of rising 2θ (2θ = 10–80°):
2θ = 28.06°, intensity 27.7
2θ = 30.43°, intensity 100.0
2θ = 31.56°, intensity 25.2
2θ = 36.23°, intensity 24.4
2θ = 38.82°, intensity 48.8
2θ = 41.01°, intensity 24.8



# Ac2RhPb2
Theoretical X-ray powder pattern, CuKα. Input: a structure optimized by DFT (PBE).
Intensities are scaled so that the largest is 100.

Structure:
a = 13.4461 Å, b = 13.4461 Å, c = 13.4461 Å
α = 158.70°, β = 158.70°, γ = 30.31°
Element x y z (fractional)
Ac 0.0637 0.3137 0.7500
Ac 0.3137 0.0637 0.2500
Ac 0.6863 0.9363 0.7500
Ac 0.9363 0.6863 0.2500
Rh 0.3750 0.6250 0.7500
Rh 0.6250 0.3750 0.2500
Pb 0.2035 0.4535 0.7500
Pb 0.4535 0.2035 0.2500
Pb 0.5465 0.7965 0.7500
Pb 0.7965 0.5465 0.2500

Main lines, in order of rising 2θ (2θ = 10–80°):
2θ = 26.27°, intensity 51.0
2θ = 27.49°, intensity 23.0
2θ = 32.83°, intensity 100.0
2θ = 36.14°, intensity 54.7
2θ = 46.00°, intensity 23.8
2θ = 62.91°, intensity 31.8



# Ac2TmRh4Pb3
Theoretical X-ray powder pattern, CuKα. Input: a structure optimized by DFT (PBE).
Intensities are scaled so that the largest is 100.

Structure:
a = 4.5422 Å, b = 4.5422 Å, c = 11.8389 Å
α = 90.00°, β = 90.00°, γ = 90.00°
Element x y z (fractional)
Ac 0.0000 0.5000 0.2386
Ac 0.5000 0.0000 0.7614
Tm 0.0000 0.0000 0.5000
Rh 0.0000 0.0000 0.0000
Rh 0.0000 0.5000 0.6428
Rh 0.5000 0.0000 0.3572
Rh 0.5000 0.5000 0.0000
Pb 0.0000 0.5000 0.8739
Pb 0.5000 0.0000 0.1261
Pb 0.5000 0.5000 0.5000

Main lines, in order of rising 2θ (2θ = 10–80°):
2θ = 30.00°, intensity 65.0
2θ = 31.70°, intensity 100.0
2θ = 39.69°, intensity 64.4
2θ = 43.08°, intensity 32.0
2θ = 50.53°, intensity 31.4
2θ = 60.01°, intensity 24.3



# Ac5RuPb2
Theoretical X-ray powder pattern, CuKα. Input: a structure optimized by DFT (PBE).
Intensities are scaled so that the largest is 100.

Structure:
a = 6.5783 Å, b = 6.5783 Å, c = 16.7385 Å
α = 90.00°, β = 90.00°, γ = 121.84°
Element x y z (fractional)
Ac 0.0864 0.9136 0.6214
Ac 0.0864 0.9136 0.8786
Ac 0.2502 0.7498 0.2500
Ac 0.4133 0.5867 0.6217
Ac 0.4133 0.5867 0.8783
Ac 0.5867 0.4133 0.1217
Ac 0.5867 0.4133 0.3783
Ac 0.7498 0.2502 0.7500
Ac 0.9136 0.0864 0.1214
Ac 0.9136 0.0864 0.3786
Ru 0.2496 0.7504 0.7500
Ru 0.7504 0.2496 0.2500
Pb 0.2502 0.7498 0.0489
Pb 0.2502 0.7498 0.4511
Pb 0.7498 0.2502 0.5489
Pb 0.7498 0.2502 0.9511

Main lines, in order of rising 2θ (2θ = 10–80°):
2θ = 26.34°, intensity 59.4
2θ = 27.65°, intensity 100.0
2θ = 27.90°, intensity 88.8
2θ = 31.14°, intensity 69.3
2θ = 31.59°, intensity 75.4
2θ = 38.75°, intensity 43.7



# Ac5RuPb3
Theoretical X-ray powder pattern, CuKα. Input: a structure optimized by DFT (PBE).
Intensities are scaled so that the largest is 100.

Structure:
a = 10.0851 Å, b = 10.0851 Å, c = 7.4329 Å
α = 90.00°, β = 90.00°, γ = 120.00°
Element x y z (fractional)
Ac 0.0000 0.2308 0.2500
Ac 0.0000 0.7692 0.7500
Ac 0.2308 0.0000 0.2500
Ac 0.2308 0.2308 0.7500
Ac 0.3333 0.6667 0.0000
Ac 0.3333 0.6667 0.5000
Ac 0.6667 0.3333 0.0000
Ac 0.6667 0.3333 0.5000
Ac 0.7692 0.0000 0.7500
Ac 0.7692 0.7692 0.2500
Ru 0.0000 0.0000 0.0000
Ru 0.0000 0.0000 0.5000
Pb 0.0000 0.4097 0.7500
Pb 0.0000 0.5903 0.2500
Pb 0.4097 0.0000 0.7500
Pb 0.4097 0.4097 0.2500
Pb 0.5903 0.0000 0.2500
Pb 0.5903 0.5903 0.7500

Main lines, in order of rising 2θ (2θ = 10–80°):
2θ = 27.01°, intensity 21.3
2θ = 29.61°, intensity 100.0
2θ = 29.87°, intensity 79.7
2θ = 30.71°, intensity 30.1
2θ = 45.79°, intensity 31.2
2θ = 58.37°, intensity 19.0